This entry pairs a crystal structure of LiV2FeO4 with its simulated powder X-ray diffraction pattern. Radiation: Cu Kα (λ = 1.5418 Å). Structure: a cell relaxed with PBE+U.

Structure:
```
data_LiV2FeO4
_space_group_name_H-M_alt 'F m m m'
_space_group_IT_number 69
_space_group_name_Hall '-F 2 2'
_cell_length_a 6.003
_cell_length_b 6.065
_cell_length_c 8.673
_cell_angle_alpha 90.00
_cell_angle_beta 90.00
_cell_angle_gamma 90.00
loop_
_atom_site_label
_atom_site_type_symbol
_atom_site_fract_x
_atom_site_fract_y
_atom_site_fract_z
_atom_site_occupancy
Li1 Li 0.000 0.000 0.000 1
V1 V 0.250 0.250 0.250 1
Fe1 Fe 0.000 0.000 0.500 1
O1 O 0.000 0.000 0.247 1
O2 O 0.250 0.250 0.000 1
```

Most intense lines, 2θ from 5° to 70°, in order of rising 2θ:
d [Å]	2θ (°)	Rel. int.
4.336	20.48	10
3.828	23.23	57
2.485	36.14	30
2.468	36.41	29
2.393	37.58	17
2.168	41.66	53
2.133	42.37	100
1.521	60.93	58
1.516	61.12	14
1.501	61.82	14